Structure and simulated PXRD pattern of Pr3PaRh3 (the GGA-PBE geometry in Alexandria; λ = 1.5418 Å (Cu Kα)).
Intensities are scaled so that the largest is 100.

Structure:
Cell lengths 11.376, 11.376, 5.893 Å; angles 90.00, 90.00, 90.00 degrees
Space group P4_2/mnm (No. 136)
Unique sites:
Pr 0.116 0.116 0.000 (multiplicity 4)
Pr 0.123 0.365 0.500 (multiplicity 8)
Pa 0.137 0.863 0.500 (multiplicity 4)
Rh 0.093 0.093 0.500 (multiplicity 4)
Rh 0.131 0.640 0.500 (multiplicity 8)

Principal peaks in the range 2θ = 5–70°, low angle first:
hkl 1 0 1, 5.233 Å, I = 21; hkl 1 1 1, 4.754 Å, I = 15; hkl 2 2 1, 3.322 Å, I = 42; hkl 0 0 2, 2.946 Å, I = 62; hkl 4 0 0, 2.844 Å, I = 100; hkl 4 0 2, 2.046 Å, I = 78; hkl 4 4 0, 2.011 Å, I = 36; hkl 6 2 1, 1.720 Å, I = 16; hkl 4 4 2, 1.661 Å, I = 36; hkl 0 0 4, 1.473 Å, I = 10

Structure and simulated PXRD pattern of Pr2PaS4 (the GGA-PBE geometry in Alexandria; λ = 1.5418 Å (Cu Kα)).
Intensities are scaled so that the largest is 100.

Structure:
Cell lengths 3.903, 13.620, 13.212 Å; angles 90.00, 90.00, 90.00 degrees
Space group Cmcm (No. 63)
Unique sites:
Pr 0.000 0.135 0.070 (multiplicity 8)
Pa 0.000 0.374 0.250 (multiplicity 4)
S 0.000 0.017 0.250 (multiplicity 4)
S 0.000 0.221 0.630 (multiplicity 8)
S 0.000 0.500 0.000 (multiplicity 4)

Principal peaks in the range 2θ = 5–70°, low angle first:
hkl 0 2 3, 3.698 Å, I = 100; hkl 1 1 1, 3.610 Å, I = 35; hkl 0 4 0, 3.405 Å, I = 26; hkl 1 1 2, 3.263 Å, I = 28; hkl 1 3 1, 2.888 Å, I = 36; hkl 1 3 2, 2.701 Å, I = 55; hkl 0 0 6, 2.203 Å, I = 43; hkl 1 1 5, 2.160 Å, I = 31; hkl 0 6 3, 2.018 Å, I = 24; hkl 2 2 3, 1.726 Å, I = 27

Structure and simulated PXRD pattern of PrSm2PaS4 (the GGA-PBE geometry in Alexandria; λ = 1.5418 Å (Cu Kα)).
Intensities are scaled so that the largest is 100.

Structure:
Cell lengths 6.938, 3.979, 6.940 Å; angles 90.00, 109.11, 90.00 degrees
Space group P2/m (No. 10)
Unique sites:
Pr 0.000 0.000 0.000 (multiplicity 1)
Sm 0.000 0.500 0.500 (multiplicity 1)
Sm 0.500 0.000 0.500 (multiplicity 1)
Pa 0.500 0.500 0.000 (multiplicity 1)
S 0.258 0.000 0.752 (multiplicity 2)
S 0.259 0.500 0.252 (multiplicity 2)

Principal peaks in the range 2θ = 5–70°, low angle first:
hkl 2 0 0, 3.278 Å, I = 43; hkl 1 1 -1, 3.254 Å, I = 42; hkl 1 1 1, 2.828 Å, I = 100; hkl 2 0 2, 2.012 Å, I = 12; hkl 1 1 -3, 2.000 Å, I = 49; hkl 0 2 0, 1.990 Å, I = 12; hkl 3 1 1, 1.711 Å, I = 14; hkl 2 2 0, 1.702 Å, I = 21; hkl 0 0 4, 1.639 Å, I = 13; hkl 2 2 -2, 1.627 Å, I = 13

Structure and simulated PXRD pattern of PrTm2PaSb4 (the GGA-PBE geometry in Alexandria; λ = 1.5418 Å (Cu Kα)).
Intensities are scaled so that the largest is 100.

Structure:
Cell lengths 7.587, 4.397, 7.644 Å; angles 90.00, 109.36, 90.00 degrees
Space group P2/m (No. 10)
Unique sites:
Pr 0.000 0.000 0.000 (multiplicity 1)
Tm 0.500 0.000 0.500 (multiplicity 1)
Tm 0.500 0.500 0.000 (multiplicity 1)
Pa 0.000 0.500 0.500 (multiplicity 1)
Sb 0.257 0.000 0.748 (multiplicity 2)
Sb 0.260 0.500 0.260 (multiplicity 2)

Principal peaks in the range 2θ = 5–70°, low angle first:
hkl 1 1 1, 3.110 Å, I = 100; hkl 1 1 -3, 2.203 Å, I = 38; hkl 0 2 0, 2.198 Å, I = 13; hkl 3 1 -1, 2.192 Å, I = 25; hkl 0 0 4, 1.803 Å, I = 7; hkl 2 2 -2, 1.795 Å, I = 14; hkl 2 2 2, 1.555 Å, I = 13; hkl 0 2 4, 1.393 Å, I = 12; hkl 1 3 1, 1.391 Å, I = 12; hkl 4 2 0, 1.387 Å, I = 11

Structure and simulated PXRD pattern of PrSm2PaSe4 (the GGA-PBE geometry in Alexandria; λ = 1.5418 Å (Cu Kα)).
Intensities are scaled so that the largest is 100.

Structure:
Cell lengths 7.232, 4.135, 7.248 Å; angles 90.00, 109.01, 90.00 degrees
Space group P2/m (No. 10)
Unique sites:
Pr 0.000 0.000 0.000 (multiplicity 1)
Sm 0.000 0.500 0.500 (multiplicity 1)
Sm 0.500 0.000 0.500 (multiplicity 1)
Pa 0.500 0.500 0.000 (multiplicity 1)
Se 0.256 0.000 0.751 (multiplicity 2)
Se 0.257 0.500 0.253 (multiplicity 2)

Principal peaks in the range 2θ = 5–70°, low angle first:
hkl 2 0 0, 3.422 Å, I = 12; hkl 1 1 -1, 3.385 Å, I = 12; hkl 1 1 1, 2.948 Å, I = 100; hkl 2 0 2, 2.102 Å, I = 13; hkl 1 1 -3, 2.084 Å, I = 50; hkl 0 2 0, 2.067 Å, I = 12; hkl 0 0 4, 1.713 Å, I = 7; hkl 4 0 0, 1.709 Å, I = 7; hkl 2 2 -2, 1.692 Å, I = 13; hkl 2 2 2, 1.474 Å, I = 12

Structure and simulated PXRD pattern of PrPa2Te4 (the GGA-PBE geometry in Alexandria; λ = 1.5418 Å (Cu Kα)).
Intensities are scaled so that the largest is 100.

Structure:
Cell lengths 4.234, 13.880, 15.615 Å; angles 90.00, 90.00, 90.00 degrees
Space group Cmcm (No. 63)
Unique sites:
Pr 0.000 0.101 0.250 (multiplicity 4)
Pa 0.000 0.352 0.060 (multiplicity 8)
Te 0.000 0.000 0.000 (multiplicity 4)
Te 0.000 0.289 0.631 (multiplicity 8)
Te 0.000 0.428 0.250 (multiplicity 4)

Principal peaks in the range 2θ = 5–70°, low angle first:
hkl 0 2 3, 4.164 Å, I = 51; hkl 0 2 4, 3.402 Å, I = 52; hkl 1 3 0, 3.124 Å, I = 84; hkl 1 3 1, 3.063 Å, I = 77; hkl 1 3 2, 2.900 Å, I = 82; hkl 0 2 5, 2.848 Å, I = 35; hkl 1 1 5, 2.473 Å, I = 100; hkl 0 6 2, 2.218 Å, I = 29; hkl 1 5 3, 2.121 Å, I = 49; hkl 2 0 0, 2.116 Å, I = 62

Structure and simulated PXRD pattern of PrY2Pa (the GGA-PBE geometry in Alexandria; λ = 1.5418 Å (Cu Kα)).
Intensities are scaled so that the largest is 100.

Structure:
Cell lengths 3.4344, 3.4344, 36.7915 Å; angles 90.00, 90.00, 120.00 degrees
Space group R-3m (No. 166, hexagonal axes)
Unique sites:
Pr 0.0000 0.0000 0.0000 (multiplicity 3)
Y 0.0000 0.0000 0.0933 (multiplicity 6)
Pa 0.0000 0.0000 0.5000 (multiplicity 3)

Principal peaks in the range 2θ = 5–70°, low angle first:
hkl 0 0 3, 12.264 Å, I = 57; hkl 0 0 6, 6.132 Å, I = 37; hkl 0 0 12, 3.066 Å, I = 49; hkl 0 1 2, 2.936 Å, I = 100; hkl 1 0 4, 2.830 Å, I = 27; hkl 0 1 5, 2.758 Å, I = 30; hkl 0 1 8, 2.498 Å, I = 44; hkl 1 0 10, 2.313 Å, I = 77; hkl 1 1 0, 1.717 Å, I = 33; hkl 1 1 12, 1.498 Å, I = 35

Structure and simulated PXRD pattern of Pa13Pt2 (the GGA-PBE geometry in Alexandria; λ = 1.5418 Å (Cu Kα)).
Intensities are scaled so that the largest is 100.

Structure:
Cell lengths 6.430, 7.965, 8.112 Å; angles 61.52, 83.81, 86.98 degrees
Space group P-1 (No. 2)
Unique sites:
Pa 0.000 0.000 0.000 (multiplicity 1)
Pa 0.084 0.501 0.676 (multiplicity 2)
Pa 0.140 0.290 0.127 (multiplicity 2)
Pa 0.291 0.922 0.415 (multiplicity 2)
Pa 0.324 0.705 0.893 (multiplicity 2)
Pa 0.387 0.447 0.355 (multiplicity 2)
Pa 0.464 0.176 0.838 (multiplicity 2)
Pt 0.157 0.117 0.616 (multiplicity 2)

Principal peaks in the range 2θ = 5–70°, low angle first:
hkl -2 1 1, 2.801 Å, I = 41; hkl 0 1 -2, 2.692 Å, I = 23; hkl 0 2 -1, 2.676 Å, I = 59; hkl 0 2 3, 2.620 Å, I = 100; hkl 2 2 1, 2.560 Å, I = 59; hkl 2 0 2, 2.495 Å, I = 63; hkl -2 2 1, 2.428 Å, I = 29; hkl 2 0 -2, 2.271 Å, I = 23; hkl 0 4 2, 1.988 Å, I = 20; hkl 2 4 4, 1.576 Å, I = 16

Structure and simulated PXRD pattern of Pa5Pt4 (the GGA-PBE geometry in Alexandria; λ = 1.5418 Å (Cu Kα)).
Intensities are scaled so that the largest is 100.

Structure:
Cell lengths 3.595, 9.941, 11.155 Å; angles 90.00, 90.00, 90.00 degrees
Space group Immm (No. 71)
Unique sites:
Pa 0.000 0.000 0.000 (multiplicity 2)
Pa 0.000 0.000 0.283 (multiplicity 4)
Pa 0.000 0.318 0.000 (multiplicity 4)
Pt 0.000 0.312 0.332 (multiplicity 8)

Principal peaks in the range 2θ = 5–70°, low angle first:
hkl 1 0 3, 2.585 Å, I = 97; hkl 0 3 3, 2.474 Å, I = 78; hkl 1 3 0, 2.436 Å, I = 100; hkl 0 0 6, 1.859 Å, I = 11; hkl 1 3 4, 1.835 Å, I = 10; hkl 2 0 0, 1.797 Å, I = 21; hkl 0 6 0, 1.657 Å, I = 11; hkl 1 3 6, 1.478 Å, I = 21; hkl 2 3 3, 1.454 Å, I = 31; hkl 1 6 3, 1.395 Å, I = 20

Structure and simulated PXRD pattern of Pa3Pt (the GGA-PBE geometry in Alexandria; λ = 1.5418 Å (Cu Kα)).
Intensities are scaled so that the largest is 100.

Structure:
Cell lengths 6.456, 3.403, 8.784 Å; angles 90.00, 99.45, 90.00 degrees
Space group P2_1/m (No. 11)
Unique sites:
Pa 0.041 0.250 0.333 (multiplicity 2)
Pa 0.208 0.250 0.937 (multiplicity 2)
Pa 0.367 0.750 0.608 (multiplicity 2)
Pt 0.347 0.750 0.193 (multiplicity 2)

Principal peaks in the range 2θ = 5–70°, low angle first:
hkl 2 0 -2, 2.794 Å, I = 57; hkl 1 1 1, 2.770 Å, I = 39; hkl 0 1 2, 2.676 Å, I = 100; hkl 1 0 3, 2.482 Å, I = 40; hkl 2 1 0, 2.325 Å, I = 55; hkl 2 1 -1, 2.316 Å, I = 17; hkl 1 1 -3, 2.166 Å, I = 30; hkl 0 2 0, 1.701 Å, I = 20; hkl 2 1 -4, 1.689 Å, I = 16; hkl 2 2 -2, 1.453 Å, I = 30

Structure and simulated PXRD pattern of PaPt7 (the GGA-PBE geometry in Alexandria; λ = 1.5418 Å (Cu Kα)).
Intensities are scaled so that the largest is 100.

Structure:
Cell lengths 4.109, 4.109, 16.081 Å; angles 90.00, 90.00, 90.00 degrees
Space group I4/mmm (No. 139)
Unique sites:
Pa 0.000 0.000 0.000 (multiplicity 2)
Pt 0.000 0.000 0.254 (multiplicity 4)
Pt 0.000 0.000 0.500 (multiplicity 2)
Pt 0.000 0.500 0.126 (multiplicity 8)

Principal peaks in the range 2θ = 5–70°, low angle first:
hkl 1 1 4, 2.355 Å, I = 100; hkl 2 0 0, 2.055 Å, I = 34; hkl 0 0 8, 2.010 Å, I = 16; hkl 2 2 0, 1.453 Å, I = 11; hkl 2 0 8, 1.437 Å, I = 22

Structure and simulated PXRD pattern of PuPa4Pt2 (the GGA-PBE geometry in Alexandria; λ = 1.5418 Å (Cu Kα)).
Intensities are scaled so that the largest is 100.

Structure:
Cell lengths 9.927, 6.046, 10.662 Å; angles 90.00, 90.00, 90.00 degrees
Space group Pnma (No. 62)
Unique sites:
Pu 0.105 0.250 0.160 (multiplicity 4)
Pa 0.161 0.750 0.936 (multiplicity 4)
Pa 0.171 0.750 0.393 (multiplicity 4)
Pa 0.175 0.012 0.678 (multiplicity 8)
Pt 0.007 0.750 0.150 (multiplicity 4)
Pt 0.049 0.250 0.441 (multiplicity 4)

Principal peaks in the range 2θ = 5–70°, low angle first:
hkl 0 2 0, 3.023 Å, I = 27; hkl 0 2 2, 2.630 Å, I = 21; hkl 1 0 4, 2.574 Å, I = 65; hkl 3 1 2, 2.549 Å, I = 100; hkl 1 2 2, 2.542 Å, I = 52; hkl 2 2 1, 2.509 Å, I = 63; hkl 3 0 3, 2.420 Å, I = 64; hkl 4 1 0, 2.296 Å, I = 25; hkl 1 2 3, 2.243 Å, I = 49; hkl 0 4 0, 1.512 Å, I = 21

Structure and simulated PXRD pattern of Pu2PaPt5 (the GGA-PBE geometry in Alexandria; λ = 1.5418 Å (Cu Kα)).
Intensities are scaled so that the largest is 100.

Structure:
Cell lengths 5.764, 10.394, 5.292 Å; angles 90.00, 90.00, 90.00 degrees
Space group Cmmm (No. 65)
Unique sites:
Pu 0.000 0.233 0.000 (multiplicity 4)
Pa 0.000 0.500 0.500 (multiplicity 2)
Pt 0.000 0.000 0.500 (multiplicity 2)
Pt 0.237 0.500 0.000 (multiplicity 4)
Pt 0.250 0.250 0.500 (multiplicity 4)

Principal peaks in the range 2θ = 5–70°, low angle first:
hkl 1 3 0, 2.969 Å, I = 2; hkl 0 0 2, 2.646 Å, I = 39; hkl 0 4 0, 2.598 Å, I = 35; hkl 2 2 1, 2.275 Å, I = 100; hkl 1 3 2, 1.976 Å, I = 1; hkl 0 4 2, 1.854 Å, I = 26; hkl 1 5 1, 1.834 Å, I = 1; hkl 2 2 3, 1.445 Å, I = 25; hkl 4 0 0, 1.441 Å, I = 6; hkl 2 6 1, 1.430 Å, I = 21